Entry 1:
This entry pairs a crystal structure of Na17Ga11Pd with its simulated powder diffraction line list. Radiation: Cu Kα, 1.54184 Å. Structure: a crystal structure in Alexandria, relaxed with GGA-PBE.
Kinematic intensities with the Lorentz-polarization factor, no thermal factor.

Top 6 peaks for 10 to 90 degrees two-theta, sorted by position:
2θ = 11.29°, I = 79; 2θ = 19.47°, I = 54; 2θ = 19.62°, I = 100; 2θ = 34.08°, I = 63; 2θ = 34.26°, I = 76; 2θ = 37.90°, I = 62

Atomic structure:
Cell lengths 9.6566, 9.6566, 9.5718 Å; angles 109.19, 109.19, 110.25 degrees
Sites, in units of the cell vectors:
Na  0.0000  0.0000  0.0000
Na  0.0008  0.0008  0.6514
Na  0.2832  0.5915  0.5973
Na  0.3078  0.7147  0.3128
Na  0.3182  0.3182  0.7238
Na  0.3469  0.3469  0.3512
Na  0.3997  0.9970  0.6885
Na  0.4037  0.6841  0.9999
Na  0.5894  0.5894  0.2810
Na  0.5915  0.2832  0.5973
Na  0.6429  0.9945  0.9993
Na  0.6841  0.4037  0.9999
Na  0.6838  0.9973  0.4078
Na  0.7147  0.3078  0.3128
Na  0.9945  0.6429  0.9993
Na  0.9970  0.3997  0.6885
Na  0.9973  0.6838  0.4078
Ga  0.1695  0.8144  0.8237
Ga  0.1700  0.9943  0.3515
Ga  0.1742  0.3502  0.0013
Ga  0.3451  0.9900  0.1714
Ga  0.3502  0.1742  0.0013
Ga  0.6453  0.8200  0.6565
Ga  0.8144  0.1695  0.8237
Ga  0.8174  0.8174  0.1550
Ga  0.8200  0.6453  0.6565
Ga  0.9900  0.3451  0.1714
Ga  0.9943  0.1700  0.3515
Pd  0.6633  0.6633  0.8307

Entry 2:
This entry pairs a crystal structure of DyHo5Sc with its simulated powder diffraction line list. Radiation: Cu Kα, 1.54184 Å. Structure: a crystal structure in Alexandria, relaxed with GGA-PBE.
Kinematic intensities with the Lorentz-polarization factor, no thermal factor.

Top 6 peaks for 10 to 90 degrees two-theta, sorted by position:
2θ = 31.15°, I = 91; 2θ = 32.05°, I = 60; 2θ = 32.19°, I = 100; 2θ = 32.62°, I = 67; 2θ = 33.34°, I = 48; 2θ = 33.82°, I = 49

Atomic structure:
Cell lengths 9.1022, 3.5562, 13.5242 Å; angles 90.00, 101.70, 90.00 degrees
Sites, in units of the cell vectors:
Dy  0.1181  0.2500  0.1397
Dy  0.8819  0.7500  0.8603
Ho  0.0089  0.7500  0.3659
Ho  0.1969  0.2500  0.8880
Ho  0.3268  0.2500  0.5070
Ho  0.3452  0.7500  0.7233
Ho  0.4195  0.7500  0.0826
Ho  0.5805  0.2500  0.9174
Ho  0.6548  0.2500  0.2767
Ho  0.6732  0.7500  0.4930
Ho  0.8031  0.7500  0.1120
Ho  0.9911  0.2500  0.6341
Sc  0.3539  0.7500  0.3078
Sc  0.6461  0.2500  0.6922

Entry 3:
This entry pairs a crystal structure of Eu3B6Rh8 with its simulated powder diffraction line list. Radiation: Cu Kα, 1.54184 Å. Structure: a crystal structure in Alexandria, relaxed with GGA-PBE.
Kinematic intensities with the Lorentz-polarization factor, no thermal factor.

Top 6 peaks for 10 to 90 degrees two-theta, sorted by position:
2θ = 31.87°, I = 67; 2θ = 36.18°, I = 95; 2θ = 37.02°, I = 100; 2θ = 41.16°, I = 43; 2θ = 45.40°, I = 26; 2θ = 59.38°, I = 20

Atomic structure:
Cell lengths 9.9339, 9.0436, 5.6919 Å; angles 81.34, 64.16, 34.50 degrees
Sites, in units of the cell vectors:
Eu  0.0000  0.0000  0.0000
Eu  0.1828  0.1828  0.8172
Eu  0.8172  0.8172  0.1828
B  0.1682  0.4901  0.5099
B  0.3336  0.6664  0.3336
B  0.4901  0.1682  0.8318
B  0.5099  0.8318  0.1682
B  0.6664  0.3336  0.6664
B  0.8318  0.5099  0.4901
Rh  0.0849  0.0849  0.4151
Rh  0.2500  0.2500  0.2500
Rh  0.4129  0.4129  0.5871
Rh  0.4151  0.4151  0.0849
Rh  0.5849  0.5849  0.9151
Rh  0.5871  0.5871  0.4129
Rh  0.7500  0.7500  0.7500
Rh  0.9151  0.9151  0.5849

> Which formula does entry 1 have?

Na17Ga11Pd